[1]
SrCd9Pt3: computed powder diffractogram (Cu Kα (λ = 1.5418 Å)), based on the GGA-PBE geometry in Alexandria.

Atomic structure:
a b c (Å): 7.596 7.596 7.453
angles (deg): 98.17 98.17 135.90
Positions (direct):
Sr1 0.000 0.000 0.000
Cd1 0.016 0.666 0.663
Cd2 0.275 0.499 0.783
Cd3 0.334 0.984 0.337
Cd4 0.499 0.275 0.783
Cd5 0.500 0.500 0.500
Cd6 0.501 0.725 0.217
Cd7 0.666 0.016 0.663
Cd8 0.725 0.501 0.217
Cd9 0.984 0.334 0.337
Pt1 0.000 0.000 0.500
Pt2 0.000 0.500 0.000
Pt3 0.500 0.000 0.000

Peak list (6 most intense, 10 to 80 degrees two-theta, low angle first)
d = 4.927 Å, intensity 75
d = 2.484 Å, intensity 40
d = 2.468 Å, intensity 100
d = 2.464 Å, intensity 89
d = 2.215 Å, intensity 75
d = 2.193 Å, intensity 38

***

[2]
SrCd8Pt4: computed powder diffractogram (Cu Kα (λ = 1.5418 Å)), based on the GGA-PBE geometry in Alexandria.

Atomic structure:
a b c (Å): 7.419 7.419 7.419
angles (deg): 98.65 98.65 134.37
Positions (direct):
Sr1 0.000 0.000 0.000
Cd1 0.000 0.340 0.340
Cd2 0.000 0.660 0.660
Cd3 0.279 0.500 0.779
Cd4 0.340 0.000 0.340
Cd5 0.500 0.279 0.779
Cd6 0.500 0.721 0.221
Cd7 0.660 0.000 0.660
Cd8 0.721 0.500 0.221
Pt1 0.000 0.000 0.500
Pt2 0.000 0.500 0.000
Pt3 0.500 0.000 0.000
Pt4 0.500 0.500 0.500

Peak list (6 most intense, 10 to 80 degrees two-theta, low angle first)
d = 4.836 Å, intensity 62
d = 2.472 Å, intensity 82
d = 2.431 Å, intensity 47
d = 2.418 Å, intensity 69
d = 2.201 Å, intensity 100
d = 2.163 Å, intensity 52

***

[3]
Sr6Cd5Pt: computed powder diffractogram (Cu Kα (λ = 1.5418 Å)), based on the GGA-PBE geometry in Alexandria.

Atomic structure:
a b c (Å): 5.644 7.908 8.975
angles (deg): 90.00 108.18 90.00
Positions (direct):
Sr1 0.000 0.232 0.000
Sr2 0.000 0.768 0.000
Sr3 0.345 0.241 0.687
Sr4 0.345 0.759 0.687
Sr5 0.655 0.241 0.313
Sr6 0.655 0.759 0.313
Cd1 0.167 0.500 0.337
Cd2 0.177 0.000 0.357
Cd3 0.500 0.500 0.000
Cd4 0.823 0.000 0.643
Cd5 0.833 0.500 0.663
Pt1 0.500 0.000 0.000

Peak list (6 most intense, 10 to 80 degrees two-theta, low angle first)
d = 2.842 Å, intensity 32
d = 2.818 Å, intensity 100
d = 2.812 Å, intensity 66
d = 1.628 Å, intensity 25
d = 1.619 Å, intensity 12
d = 1.407 Å, intensity 14